(1)
Hg4Te5Br: theoretical X-ray powder pattern (CuKα), based on the GGA-PBE geometry in Alexandria.

Principal peaks in the range 2θ = 10–80°, in order of rising 2θ:
2θ/deg	Rel. int.	index
11.8	19	1 1 0
19.8	24	0 2 1
24.2	100	2 0 1
25.0	79	0 3 1
37.8	55	2 2 2
39.4	30	4 0 0
41.0	43	2 3 2
41.4	22	0 6 0
47.2	23	4 3 1
48.6	32	2 6 1

Crystal structure
abc: 9.159 13.073 6.154
angles: 90.00 90.00 90.00
Space group Pmmn (No. 59, origin choice 2)
Inequivalent atoms, fractional coordinates:
Hg: 0.006 0.250 0.021 x4
Hg: 0.250 0.578 0.403 x4
Te: 0.027 0.056 0.806 x8
Te: 0.250 0.750 0.699 x2
Br: 0.250 0.250 0.316 x2

***

(2)
LaPm2NdHo2: theoretical X-ray powder pattern (CuKα), based on the GGA-PBE geometry in Alexandria.

Principal peaks in the range 2θ = 10–80°, in order of rising 2θ:
2θ/deg	Rel. int.	index
26.4	35	0 1 1
28.7	100	2 2 0
29.2	79	0 6 0
29.9	97	0 3 1
30.9	35	1 2 1
32.2	43	1 6 0
33.4	57	2 4 0
35.4	43	1 4 1
40.7	66	2 3 1
54.1	34	1 9 1

Crystal structure
abc: 6.607 18.353 3.431
angles: 90.00 90.00 90.00
Space group Pnnm (No. 58)
Inequivalent atoms, fractional coordinates:
La: 0.000 0.000 0.000 x2
Pm: 0.217 0.189 0.000 x4
Nd: 0.000 0.500 0.000 x2
Ho: 0.215 0.352 0.500 x4

***

- Number 1 is which compound?
  Hg4Te5Br